For Li2VF6, a DFT-relaxed cell (PBE+U, Alexandria) gives the computed X-ray diffraction stick pattern in this record (a wavelength of 1.5418 Å).
Intensities are scaled so that the largest is 100.

Structure:
```
18
Lattice="4.424 -2.872 0.000 4.424 2.872 0.000 -1.562 0.000 9.060" Properties=species:S:1:pos:R:3 pbc="T T T"
Li 3.644 2.148 4.530
Li 4.270 0.890 1.195
Li 3.489 -0.890 5.725
Li 4.424 -2.148 0.000
V 1.416 0.914 7.159
V 2.197 -0.914 2.629
F 0.258 1.021 8.593
F -0.066 0.239 6.165
F 0.715 -0.239 1.635
F 2.641 1.725 8.385
F 2.650 0.891 5.671
F 2.964 0.768 2.913
F 1.039 -1.021 4.063
F 2.183 -0.768 7.443
F 3.431 -0.891 1.141
F 6.027 0.322 1.989
F 3.422 -1.725 3.856
F 5.247 -0.322 6.519
```

Peak list (10 most intense, 2θ = 10–80°, by angle)
2θ = 18.5°, d 4.796, intensity 72; 2θ = 19.6°, d 4.530, intensity 61; 2θ = 20.1°, d 4.413, intensity 100; 2θ = 20.4°, d 4.360, intensity 36; 2θ = 21.8°, d 4.084, intensity 100; 2θ = 25.8°, d 3.449, intensity 62; 2θ = 37.5°, d 2.399, intensity 31; 2θ = 39.8°, d 2.267, intensity 27; 2θ = 41.7°, d 2.166, intensity 37; 2θ = 42.7°, d 2.117, intensity 21